Theoretical powder diffractogram
Compound: K2H6Pt
Radiation: Cu Kα
Structure: a crystal structure in the Materials Project, relaxed with PBE
Peak positions follow from Bragg's law for the DFT cell and can differ from measured ones.

Main lines, by intensity (10° ≤ 2θ ≤ 90°):
d [Å], Position (°2θ), I_rel
4.744, 18.7, 100
2.905, 30.8, 87
2.477, 36.3, 56
1.677, 54.7, 33
1.885, 48.3, 25
1.581, 58.4, 19
1.389, 67.4, 19
1.098, 89.2, 17
4.108, 21.6, 17
2.054, 44.1, 17

Structural model:
Unit cell a=5.810 b=5.810 c=5.810 alpha=60.00 beta=60.00 gamma=60.00
Atoms (fractional coordinates):
1 K 0.250 0.250 0.250
2 K 0.750 0.750 0.750
3 H 0.202 0.202 0.798
4 H 0.202 0.798 0.202
5 H 0.202 0.798 0.798
6 H 0.798 0.202 0.202
7 H 0.798 0.202 0.798
8 H 0.798 0.798 0.202
9 Pt 0.000 0.000 0.000

***

Theoretical powder diffractogram
Compound: Ba2CuS2Cl2
Radiation: Cu Kα
Structure: a crystal structure in the Materials Project, relaxed with PBE
Peak positions follow from Bragg's law for the DFT cell and can differ from measured ones.

Main lines, by intensity (10° ≤ 2θ ≤ 90°):
d [Å], Position (°2θ), I_rel
3.536, 25.2, 100
3.441, 25.9, 84
2.570, 34.9, 82
2.433, 36.9, 67
2.005, 45.2, 49
1.768, 51.7, 33
1.430, 65.3, 32
2.060, 44.0, 29
1.721, 53.2, 22
1.539, 60.1, 16

Structural model:
Unit cell a=8.450 b=8.450 c=8.450 alpha=146.53 beta=146.53 gamma=48.07
Atoms (fractional coordinates):
1 Ba 0.146 0.146 0.000
2 Ba 0.854 0.854 0.000
3 Cu 0.500 0.500 0.000
4 S 0.344 0.344 0.000
5 S 0.656 0.656 0.000
6 Cl 0.000 0.500 0.500
7 Cl 0.500 0.000 0.500

***

Theoretical powder diffractogram
Compound: KPrYSbO6
Radiation: Cu Kα
Structure: a crystal structure in the Materials Project, relaxed with PBE
Peak positions follow from Bragg's law for the DFT cell and can differ from measured ones.

Main lines, by intensity (10° ≤ 2θ ≤ 90°):
d [Å], Position (°2θ), I_rel
2.956, 30.2, 100
1.707, 53.7, 39
2.090, 43.3, 33
1.117, 87.3, 20
1.478, 62.9, 20
4.827, 18.4, 19
1.322, 71.3, 17
2.521, 35.6, 11
1.207, 79.4, 6
1.918, 47.4, 5

Structural model:
Unit cell a=5.912 b=5.912 c=5.912 alpha=60.00 beta=60.00 gamma=60.00
Atoms (fractional coordinates):
1 K 0.000 0.000 0.000
2 Pr 0.500 0.500 0.500
3 Y 0.750 0.750 0.750
4 Sb 0.250 0.250 0.250
5 O 0.013 0.013 0.487
6 O 0.013 0.487 0.013
7 O 0.013 0.487 0.487
8 O 0.487 0.013 0.013
9 O 0.487 0.013 0.487
10 O 0.487 0.487 0.013

***

Theoretical powder diffractogram
Compound: Sc2MnGe
Radiation: Cu Kα
Structure: a crystal structure in the Materials Project, relaxed with PBE
Peak positions follow from Bragg's law for the DFT cell and can differ from measured ones.

Main lines, by intensity (10° ≤ 2θ ≤ 90°):
d [Å], Position (°2θ), I_rel
2.283, 39.5, 100
1.318, 71.6, 30
1.614, 57.1, 16
1.141, 85.0, 9
3.728, 23.9, 5
1.947, 46.7, 3
1.481, 62.7, 1
1.091, 89.9, 1
1.243, 76.7, 1
3.229, 27.6, 1

Structural model:
Unit cell a=4.566 b=4.566 c=4.566 alpha=60.00 beta=60.00 gamma=60.00
Atoms (fractional coordinates):
1 Sc 0.000 0.000 0.000
2 Sc 0.250 0.250 0.250
3 Mn 0.750 0.750 0.750
4 Ge 0.500 0.500 0.500

***

Theoretical powder diffractogram
Compound: CsCdBO3
Radiation: Cu Kα
Structure: a crystal structure in the Materials Project, relaxed with PBE
Peak positions follow from Bragg's law for the DFT cell and can differ from measured ones.

Main lines, by intensity (10° ≤ 2θ ≤ 90°):
d [Å], Position (°2θ), I_rel
3.418, 26.1, 100
3.120, 28.6, 74
2.042, 44.4, 52
1.668, 55.1, 25
1.419, 65.8, 17
1.240, 76.9, 17
2.304, 39.1, 15
1.753, 52.2, 15
1.910, 47.6, 14
2.119, 42.7, 12

Structural model:
Unit cell a=7.642 b=7.642 c=7.642 alpha=90.00 beta=90.00 gamma=90.00
Atoms (fractional coordinates):
1 Cs 0.139 0.361 0.639
2 Cs 0.361 0.639 0.139
3 Cs 0.639 0.139 0.361
4 Cs 0.861 0.861 0.861
5 Cd 0.145 0.145 0.145
6 Cd 0.355 0.855 0.645
7 Cd 0.645 0.355 0.855
8 Cd 0.855 0.645 0.355
9 B 0.099 0.901 0.401
10 B 0.401 0.099 0.901
11 B 0.599 0.599 0.599
12 B 0.901 0.401 0.099
13 O 0.023 0.411 0.234
14 O 0.089 0.766 0.523
15 O 0.234 0.023 0.411
16 O 0.266 0.977 0.911
17 O 0.411 0.234 0.023
18 O 0.477 0.589 0.734
19 O 0.523 0.089 0.766
20 O 0.589 0.734 0.477
21 O 0.734 0.477 0.589
22 O 0.766 0.523 0.089
23 O 0.911 0.266 0.977
24 O 0.977 0.911 0.266

***

Theoretical powder diffractogram
Compound: TiNb3O6
Radiation: Cu Kα
Structure: a crystal structure in the Materials Project, relaxed with PBE
Peak positions follow from Bragg's law for the DFT cell and can differ from measured ones.

Main lines, by intensity (10° ≤ 2θ ≤ 90°):
d [Å], Position (°2θ), I_rel
6.265, 14.1, 100
2.128, 42.5, 59
3.090, 28.9, 38
2.468, 36.4, 29
2.581, 34.8, 17
1.514, 61.2, 16
1.852, 49.2, 15
2.686, 33.4, 14
3.375, 26.4, 14
1.496, 62.0, 14

Structural model:
Unit cell a=6.707 b=6.707 c=6.707 alpha=73.37 beta=73.37 gamma=73.37
Atoms (fractional coordinates):
1 Ti 0.226 0.226 0.226
2 Ti 0.774 0.774 0.774
3 Nb 0.205 0.444 0.618
4 Nb 0.382 0.795 0.556
5 Nb 0.444 0.618 0.205
6 Nb 0.556 0.382 0.795
7 Nb 0.618 0.205 0.444
8 Nb 0.795 0.556 0.382
9 O 0.070 0.758 0.673
10 O 0.148 0.534 0.299
11 O 0.242 0.327 0.930
12 O 0.299 0.148 0.534
13 O 0.327 0.930 0.242
14 O 0.466 0.701 0.852
15 O 0.534 0.299 0.148
16 O 0.673 0.070 0.758
17 O 0.701 0.852 0.466
18 O 0.758 0.673 0.070
19 O 0.852 0.466 0.701
20 O 0.930 0.242 0.327

***

Theoretical powder diffractogram
Compound: MgSc2S4
Radiation: Cu Kα
Structure: a crystal structure in the Materials Project, relaxed with PBE
Peak positions follow from Bragg's law for the DFT cell and can differ from measured ones.

Main lines, by intensity (10° ≤ 2θ ≤ 90°):
d [Å], Position (°2θ), I_rel
2.791, 32.1, 100
2.642, 33.9, 98
1.818, 50.2, 96
2.483, 36.2, 88
2.040, 44.4, 52
3.119, 28.6, 42
1.920, 47.4, 42
3.447, 25.8, 37
5.582, 15.9, 35
1.797, 50.8, 23

Structural model:
Unit cell a=12.105 b=3.639 c=12.580 alpha=90.00 beta=90.00 gamma=90.00
Atoms (fractional coordinates):
1 Mg 0.125 0.250 0.075
2 Mg 0.375 0.750 0.575
3 Mg 0.625 0.250 0.425
4 Mg 0.875 0.750 0.925
5 Sc 0.110 0.750 0.421
6 Sc 0.147 0.750 0.798
7 Sc 0.353 0.250 0.298
8 Sc 0.390 0.250 0.921
9 Sc 0.610 0.750 0.079
10 Sc 0.647 0.750 0.702
11 Sc 0.853 0.250 0.202
12 Sc 0.890 0.250 0.579
13 S 0.025 0.250 0.886
14 S 0.033 0.750 0.619
15 S 0.217 0.750 0.241
16 S 0.249 0.250 0.478
17 S 0.251 0.750 0.978
18 S 0.283 0.250 0.741
19 S 0.467 0.250 0.119
20 S 0.475 0.750 0.386
21 S 0.525 0.250 0.614
22 S 0.533 0.750 0.881
23 S 0.717 0.750 0.259
24 S 0.749 0.250 0.022
25 S 0.751 0.750 0.522
26 S 0.783 0.250 0.759
27 S 0.967 0.250 0.381
28 S 0.975 0.750 0.114

***

Theoretical powder diffractogram
Compound: Rb2S5
Radiation: Cu Kα
Structure: a crystal structure in the Materials Project, relaxed with PBE
Peak positions follow from Bragg's law for the DFT cell and can differ from measured ones.

Main lines, by intensity (10° ≤ 2θ ≤ 90°):
d [Å], Position (°2θ), I_rel
3.004, 29.7, 100
3.223, 27.7, 89
3.020, 29.6, 55
2.915, 30.7, 52
4.681, 19.0, 52
3.413, 26.1, 50
2.396, 37.5, 43
4.316, 20.6, 24
3.861, 23.0, 21
3.374, 26.4, 20

Structural model:
Unit cell a=6.792 b=6.853 c=19.318 alpha=90.00 beta=90.00 gamma=90.00
Atoms (fractional coordinates):
1 Rb 0.088 0.205 0.179
2 Rb 0.136 0.426 0.509
3 Rb 0.364 0.574 0.009
4 Rb 0.412 0.795 0.679
5 Rb 0.588 0.295 0.821
6 Rb 0.636 0.074 0.491
7 Rb 0.864 0.926 0.991
8 Rb 0.912 0.705 0.321
9 S 0.034 0.702 0.148
10 S 0.059 0.678 0.813
11 S 0.068 0.410 0.865
12 S 0.090 0.917 0.545
13 S 0.243 0.877 0.864
14 S 0.257 0.123 0.364
15 S 0.410 0.083 0.045
16 S 0.432 0.590 0.365
17 S 0.441 0.322 0.313
18 S 0.466 0.298 0.648
19 S 0.534 0.798 0.852
20 S 0.559 0.822 0.187
21 S 0.568 0.090 0.135
22 S 0.590 0.583 0.455
23 S 0.743 0.623 0.136
24 S 0.757 0.377 0.636
25 S 0.910 0.417 0.955
26 S 0.932 0.910 0.635
27 S 0.941 0.178 0.687
28 S 0.966 0.202 0.352

***

> Number 4 is which compound?

Sc2MnGe